Entry 1:
Diffraction record for Mg8Zn2Ag. The powder XRD pattern is calculated, not measured: it uses a crystal structure in Alexandria, relaxed with PBE and Cu Kα X-rays.

Most intense lines, 2θ from 10° to 90°, most intense first:
37.4°, d = 2.407 Å, rel. 100.0; 22.9°, d = 3.881 Å, rel. 38.8; 23.4°, d = 3.794 Å, rel. 35.3; 39.5°, d = 2.281 Å, rel. 24.8; 35.6°, d = 2.521 Å, rel. 22.7; 40.8°, d = 2.211 Å, rel. 16.6

Structure:
Lattice parameters (Å, degrees): 7.927 7.927 7.927 146.55 124.50 66.38
Positions (direct):
Mg (0.124, 0.344, 0.781)
Mg (0.153, 0.153, 0.000)
Mg (0.299, 0.000, 0.299)
Mg (0.437, 0.656, 0.781)
Mg (0.563, 0.344, 0.219)
Mg (0.701, 0.000, 0.701)
Mg (0.847, 0.847, 0.000)
Mg (0.876, 0.656, 0.219)
Zn (0.310, 0.810, 0.500)
Zn (0.690, 0.190, 0.500)
Ag (0.000, 0.500, 0.500)

***

Entry 2:
Diffraction record for Er3CI3. The powder XRD pattern is calculated, not measured: it uses a crystal structure in Alexandria, relaxed with PBE and Cu Kα X-rays.

Most intense lines, 2θ from 10° to 90°, most intense first:
31.1°, d = 2.878 Å, rel. 100.0; 36.0°, d = 2.497 Å, rel. 40.7; 26.6°, d = 3.352 Å, rel. 31.9; 46.9°, d = 1.935 Å, rel. 28.1; 63.4°, d = 1.466 Å, rel. 17.9; 57.4°, d = 1.606 Å, rel. 16.6

Structure:
Lattice parameters (Å, degrees): 11.879 11.879 11.879 32.78 32.78 32.78
Positions (direct):
Er (0.039, 0.395, 0.683)
Er (0.317, 0.961, 0.605)
Er (0.395, 0.683, 0.039)
Er (0.605, 0.317, 0.961)
Er (0.683, 0.039, 0.395)
Er (0.961, 0.605, 0.317)
C (0.333, 0.333, 0.333)
C (0.667, 0.667, 0.667)
I (0.102, 0.775, 0.429)
I (0.225, 0.571, 0.898)
I (0.429, 0.102, 0.775)
I (0.571, 0.898, 0.225)
I (0.775, 0.429, 0.102)
I (0.898, 0.225, 0.571)

***

Entry 3:
Diffraction record for Pr2SmDyMg. The powder XRD pattern is calculated, not measured: it uses a crystal structure in Alexandria, relaxed with PBE and Cu Kα X-rays.

Most intense lines, 2θ from 10° to 90°, most intense first:
30.7°, d = 2.908 Å, rel. 100.0; 29.9°, d = 2.987 Å, rel. 24.9; 53.6°, d = 1.709 Å, rel. 21.0; 16.8°, d = 5.265 Å, rel. 13.3; 69.8°, d = 1.347 Å, rel. 10.0; 49.3°, d = 1.849 Å, rel. 9.1

Structure:
Lattice parameters (Å, degrees): 5.974 7.444 7.446 90.00 90.00 90.00
Positions (direct):
Pr (0.250, 0.218, 0.188)
Pr (0.250, 0.782, 0.188)
Pr (0.750, 0.218, 0.812)
Pr (0.750, 0.782, 0.812)
Sm (0.250, 0.000, 0.651)
Sm (0.750, 0.000, 0.349)
Dy (0.250, 0.500, 0.869)
Dy (0.750, 0.500, 0.131)
Mg (0.000, 0.500, 0.500)
Mg (0.500, 0.500, 0.500)